Diffraction record for Tb4SmAs5. The powder XRD pattern is simulated, not measured: it uses a structure optimized by DFT (PBE) and copper Kα.

Lattice parameters (Å, degrees): 10.9880 10.9880 10.9880 158.20 149.00 38.22
Fractional coordinates of all 10 atoms:
Tb (0.1003, 0.1003, 0.0000)
Tb (0.2992, 0.2992, 0.0000)
Tb (0.7008, 0.7008, 0.0000)
Tb (0.8997, 0.8997, 0.0000)
Sm (0.5000, 0.5000, 0.0000)
As (0.0000, 0.5000, 0.5000)
As (0.1998, 0.6998, 0.5000)
As (0.3983, 0.8983, 0.5000)
As (0.6017, 0.1017, 0.5000)
As (0.8002, 0.3002, 0.5000)

Most intense lines, 5 to 70 degrees two-theta, in order of rising 2θ:
two_theta, I (rel.)
26.3, 21
30.4, 100
43.6, 75
51.6, 11
54.1, 26
63.3, 12